Entry 1:
Diffraction record for Sc2TlTcO8. The powder X-ray diffraction pattern is calculated, not measured: it uses a DFT-relaxed cell (PBE, Alexandria) and Cu Ka.

The 10 most intense peaks (2θ from 15° to 90°), by angle:
2θ (°)	I/Imax
18.6	71
25.9	63
26.6	17
26.9	56
32.7	100
37.5	28
37.7	23
50.1	41
51.3	40
64.9	24

Atomic structure:
```
Sc2TlTcO8
1.0
3.3169 -3.4421 0.0000
3.3169 3.4421 0.0000
0.0000 0.0000 6.6910
Sc Tl Tc O
2 1 1 8
Cartesian
0.0000 0.0000 1.6438
0.0000 0.0000 5.0473
3.3169 0.0000 3.3455
3.3169 0.0000 0.0000
1.2467 0.0000 3.3455
1.3867 0.0000 0.0000
3.3169 1.3310 1.3418
3.3169 1.3310 5.3493
3.3169 -1.3310 1.3418
3.3169 -1.3310 5.3493
5.2470 0.0000 0.0000
5.3871 0.0000 3.3455
```

***

Entry 2:
Diffraction record for YNbBr. The powder X-ray diffraction pattern is calculated, not measured: it uses a DFT-relaxed cell (PBE, Alexandria) and Cu Ka.

The 10 most intense peaks (2θ from 15° to 90°), by angle:
2θ (°)	I/Imax
22.9	42
26.9	74
27.4	35
30.2	100
31.1	48
34.8	62
35.2	85
38.6	33
40.7	81
48.7	34

Atomic structure:
```
YNbBr
1.0
8.2585 0.0000 0.0000
0.0000 3.7395 0.0000
-0.3795 0.0000 11.6749
Y Nb Br
4 4 4
Cartesian
0.2760 0.0000 2.4024
3.4737 1.8698 9.2726
4.4053 1.8698 2.4024
7.6030 0.0000 9.2726
0.7870 1.8698 11.5960
2.9628 0.0000 0.0790
4.9163 0.0000 11.5960
7.0920 1.8698 0.0790
0.9638 1.8698 7.5673
2.7860 0.0000 4.1077
5.0930 0.0000 7.5673
6.9153 1.8698 4.1077
```

***

Entry 3:
Diffraction record for Pr3Nd3Ni4. The powder X-ray diffraction pattern is calculated, not measured: it uses a DFT-relaxed cell (PBE, Alexandria) and Cu Ka.

The 10 most intense peaks (2θ from 15° to 90°), by angle:
2θ (°)	I/Imax
25.3	20
27.8	19
32.2	69
34.2	100
36.1	55
46.2	20
47.7	16
53.4	17
60.0	28
65.0	14

Atomic structure:
```
Pr3Nd3Ni4
1.0
3.9320 0.0000 0.0000
0.0000 5.5521 5.5639
0.0000 -5.5521 5.5639
Pr Nd Ni
3 3 4
Cartesian
0.0000 0.0000 0.0000
1.9660 -2.7756 6.5259
1.9660 2.7756 6.5259
0.0000 -1.8338 3.7416
0.0000 1.8338 3.7416
0.0000 0.0000 7.4501
1.9660 0.0000 2.4491
1.9660 0.0000 5.0340
1.9660 -1.2993 9.2794
1.9660 1.2993 9.2794
```

***

Entry 4:
Diffraction record for Ho13Er2. The powder X-ray diffraction pattern is calculated, not measured: it uses a DFT-relaxed cell (PBE, Alexandria) and Cu Ka.

The 10 most intense peaks (2θ from 15° to 90°), by angle:
2θ (°)	I/Imax
30.6	20
32.3	100
32.4	26
37.9	8
45.2	10
47.5	10
52.5	7
57.8	12
58.7	8
63.0	19

Atomic structure:
```
Ho13Er2
1.0
6.5364 0.0000 0.0000
1.3930 8.5346 0.0000
0.9352 3.0488 8.2942
Ho Er
13 2
Cartesian
0.0000 0.0000 0.0000
1.8625 5.7353 5.7369
1.4018 2.4969 2.2227
3.2671 7.8898 8.0858
4.1935 10.5648 5.5283
3.7358 4.7150 2.9769
4.1940 4.5240 7.7456
4.6706 7.0594 0.5486
5.1288 6.8684 5.3172
4.6711 1.0186 2.7658
5.5975 3.6936 0.2084
7.4628 9.0865 6.0714
7.0021 5.8481 2.5573
2.7929 8.0744 3.3066
6.0717 3.5090 4.9876
```

***

Entry 5:
Diffraction record for Pm6Pt3O. The powder X-ray diffraction pattern is calculated, not measured: it uses a DFT-relaxed cell (PBE, Alexandria) and Cu Ka.

The 10 most intense peaks (2θ from 15° to 90°), by angle:
2θ (°)	I/Imax
28.8	51
29.5	61
30.4	100
31.4	35
31.9	35
32.5	35
34.8	31
35.7	44
38.9	45
46.3	40

Atomic structure:
```
Pm6Pt3O
1.0
6.6962 0.0000 0.0000
0.0000 7.3967 0.0000
-6.4858 0.0000 10.3109
Pm Pt O
12 6 2
Cartesian
-2.2296 1.4220 4.4500
-5.4725 2.2763 9.6054
-1.1900 4.9325 4.4365
-4.4329 6.1625 9.5919
1.0548 0.3015 2.4501
-2.1881 3.3968 7.6056
2.3984 3.9999 2.7053
-0.8445 7.0951 7.8607
4.6432 1.2342 0.7190
1.4003 2.4642 5.8744
5.6828 5.1203 0.7055
2.4399 5.9747 5.8609
-3.5806 0.8084 7.6290
-0.3377 2.8899 2.4736
0.1052 0.0000 5.1554
3.3481 3.6983 0.0000
0.5480 4.5067 7.8373
3.7909 6.5883 2.6819
0.0000 0.0000 0.0000
-3.2429 3.6983 5.1554
```

***

Entry 6:
Diffraction record for Li5SbS4. The powder X-ray diffraction pattern is calculated, not measured: it uses a DFT-relaxed cell (PBE, Alexandria) and Cu Ka.

The 10 most intense peaks (2θ from 15° to 90°), by angle:
2θ (°)	I/Imax
17.7	100
18.1	34
22.5	22
24.4	32
29.8	27
30.8	24
32.8	36
33.5	43
48.0	26
52.8	21

Atomic structure:
```
Li5SbS4
1.0
3.7932 -6.2437 0.0000
3.7932 6.2437 0.0000
0.0000 0.0000 7.8869
Li Sb S
10 2 8
Cartesian
1.3903 0.8091 4.6475
3.7932 4.5918 3.9435
2.1859 1.6401 2.3446
1.3903 -0.8091 0.7040
2.1859 -1.6401 6.2880
5.4005 1.6401 2.3446
6.1961 0.8091 4.6475
5.4005 -1.6401 6.2880
3.7932 -4.5918 0.0000
6.1961 -0.8091 0.7040
3.7932 2.0440 6.8910
3.7932 -2.0440 2.9475
1.9676 3.0175 0.3441
3.7932 5.9517 6.3654
3.7932 0.2537 3.8799
5.6189 3.0175 0.3441
1.9676 -3.0175 4.2875
3.7932 -0.2537 7.8233
3.7932 -5.9517 2.4220
5.6189 -3.0175 4.2875
```

***

Entry 7:
Diffraction record for Li2CdH4. The powder X-ray diffraction pattern is calculated, not measured: it uses a DFT-relaxed cell (PBE, Alexandria) and Cu Ka.

The 10 most intense peaks (2θ from 15° to 90°), by angle:
2θ (°)	I/Imax
16.9	63
24.2	100
32.3	31
34.4	49
36.7	33
47.8	14
49.3	17
49.6	15
52.9	22
58.9	28

Atomic structure:
```
Li2CdH4
1.0
3.9230 0.0000 0.0000
0.0000 3.9230 0.0000
0.0000 0.0000 10.4765
Li Cd H
4 2 8
Cartesian
0.0000 0.0000 1.4886
0.0000 0.0000 8.9878
1.9615 1.9615 3.7496
1.9615 1.9615 6.7268
0.0000 0.0000 5.2382
1.9615 1.9615 0.0000
0.0000 0.0000 3.2939
0.0000 0.0000 7.1826
0.0000 1.9615 0.0000
0.0000 1.9615 5.2382
1.9615 0.0000 0.0000
1.9615 0.0000 5.2382
1.9615 1.9615 1.9443
1.9615 1.9615 8.5321
```

***

Entry 8:
Diffraction record for Pm2HfAs3. The powder X-ray diffraction pattern is calculated, not measured: it uses a DFT-relaxed cell (PBE, Alexandria) and Cu Ka.

The 10 most intense peaks (2θ from 15° to 90°), by angle:
2θ (°)	I/Imax
26.6	33
30.8	100
31.1	48
44.1	37
44.3	72
54.9	38
72.8	17
72.9	16
73.4	15
81.2	25

Atomic structure:
```
Pm2HfAs3
1.0
4.1095 0.0000 0.0000
0.0000 4.1095 0.0000
0.0000 0.0000 17.2746
Pm Hf As
4 2 6
Cartesian
0.0000 0.0000 2.8892
0.0000 0.0000 14.3854
2.0547 2.0547 5.7481
2.0547 2.0547 11.5265
0.0000 0.0000 8.6373
2.0547 2.0547 0.0000
0.0000 0.0000 0.0000
0.0000 0.0000 5.9030
0.0000 0.0000 11.3716
2.0547 2.0547 2.7343
2.0547 2.0547 8.6373
2.0547 2.0547 14.5403
```

***

Entry 9:
Diffraction record for HICl3. The powder X-ray diffraction pattern is calculated, not measured: it uses a DFT-relaxed cell (PBE, Alexandria) and Cu Ka.

The 10 most intense peaks (2θ from 15° to 90°), by angle:
2θ (°)	I/Imax
17.6	61
19.1	33
24.0	100
24.4	52
26.4	81
27.4	39
28.0	45
28.4	31
31.5	34
31.9	38

Atomic structure:
```
HICl3
1.0
12.7905 0.0000 0.0000
0.0000 3.4709 0.0000
-1.2339 0.0000 14.8400
H I Cl
4 4 12
Cartesian
1.1630 0.2839 4.1715
0.5461 1.4515 11.5914
11.0105 2.0193 3.2485
10.3935 3.1870 10.6685
3.9582 1.9563 9.1121
4.5752 3.2500 1.6921
6.9814 0.2209 13.1479
7.5983 1.5146 5.7279
0.5093 0.4709 12.4331
1.1263 1.2645 5.0131
1.5178 1.9739 8.9153
2.1348 3.2324 1.4953
4.5178 0.2135 12.9206
5.1348 1.5220 5.5006
6.4218 1.9489 9.3394
7.0387 3.2574 1.9194
9.4217 0.2385 13.3447
10.0387 1.4969 5.9247
10.4303 2.2064 9.8268
11.0472 2.9999 2.4069
```

***

Entry 10:
Diffraction record for AcTb2Ho6. The powder X-ray diffraction pattern is calculated, not measured: it uses a DFT-relaxed cell (PBE, Alexandria) and Cu Ka.

The 10 most intense peaks (2θ from 15° to 90°), by angle:
2θ (°)	I/Imax
28.5	54
30.6	52
31.6	87
33.3	100
42.3	35
50.5	42
57.1	25
60.2	46
61.8	17
83.7	15

Atomic structure:
```
AcTb2Ho6
1.0
3.6169 0.0000 0.0000
-1.8084 3.1323 0.0000
0.0000 0.0000 26.3228
Ac Tb Ho
1 2 6
Cartesian
0.0000 0.0000 0.0000
0.0000 2.0882 8.7139
0.0000 2.0882 17.6089
0.0000 0.0000 5.8630
0.0000 0.0000 11.4815
0.0000 0.0000 14.8413
0.0000 0.0000 20.4599
0.0000 2.0882 3.0985
0.0000 2.0882 23.2244
```

***

Entry 11:
Diffraction record for Ce3Er. The powder X-ray diffraction pattern is calculated, not measured: it uses a DFT-relaxed cell (PBE, Alexandria) and Cu Ka.

The 10 most intense peaks (2θ from 15° to 90°), by angle:
2θ (°)	I/Imax
30.1	21
30.4	12
31.8	35
34.1	30
34.4	100
44.3	14
53.6	14
58.3	20
63.7	16
64.2	9

Atomic structure:
```
Ce3Er
1.0
3.3836 0.0000 0.0000
0.0000 11.2685 0.0000
0.0000 0.0000 5.9425
Ce Er
6 2
Cartesian
0.0000 0.0000 0.0000
0.0000 2.9433 2.2288
0.0000 8.3252 2.2288
1.6918 2.6910 5.2000
1.6918 5.6342 2.9712
1.6918 8.5775 5.2000
0.0000 5.6342 5.9323
1.6918 0.0000 2.9610
```

***

Entry 12:
Diffraction record for ErTiFe11N. The powder X-ray diffraction pattern is calculated, not measured: it uses a DFT-relaxed cell (PBE, Alexandria) and Cu Ka.

The 10 most intense peaks (2θ from 15° to 90°), by angle:
2θ (°)	I/Imax
29.9	43
36.6	26
36.8	25
37.7	21
42.1	36
42.4	100
42.6	54
43.4	90
48.6	24
71.3	23

Atomic structure:
```
ErTiFe11N
1.0
-2.3875 4.2967 4.2655
2.3875 -4.2967 4.2655
2.3875 4.2967 -4.2655
Er Ti Fe N
1 1 11 1
Cartesian
0.0000 0.0000 0.0000
0.0000 0.0000 3.1828
1.1914 2.1332 -2.0716
3.5837 2.1332 -2.0716
2.3875 0.0000 1.9627
2.3875 1.9063 0.0885
0.0000 3.0822 0.0651
-1.1961 2.1634 2.1939
1.1961 2.1634 2.1939
0.0000 5.5111 0.0651
0.0000 0.0000 5.5514
0.0000 4.2967 2.3989
0.0000 2.3904 4.3541
2.3875 0.0000 0.0513
```

***

Entry 13:
Diffraction record for NdHgPtRh. The powder X-ray diffraction pattern is calculated, not measured: it uses a DFT-relaxed cell (PBE, Alexandria) and Cu Ka.

The 10 most intense peaks (2θ from 15° to 90°), by angle:
2θ (°)	I/Imax
22.5	6
26.0	1
37.1	100
43.8	3
53.5	18
58.8	1
66.9	36
71.6	1
79.1	11
83.5	1

Atomic structure:
```
NdHgPtRh
1.0
6.8503 0.0000 0.0000
0.0000 6.8503 0.0000
0.0000 0.0000 6.8503
Nd Hg Pt Rh
4 4 4 4
Cartesian
0.0000 0.0000 0.0000
0.0000 3.4251 3.4251
3.4251 0.0000 3.4251
3.4251 3.4251 0.0000
0.0000 0.0000 3.4251
0.0000 3.4251 0.0000
3.4251 0.0000 0.0000
3.4251 3.4251 3.4251
1.7126 1.7126 1.7126
1.7126 5.1377 5.1377
5.1377 1.7126 5.1377
5.1377 5.1377 1.7126
1.7126 1.7126 5.1377
1.7126 5.1377 1.7126
5.1377 1.7126 1.7126
5.1377 5.1377 5.1377
```